Calculated X-ray diffraction stick pattern
Compound: Rb2AgSnBr6
Radiation: Cu Kα X-rays
Structure: a PBE-relaxed structure
Neutral-atom scattering factors, no anomalous dispersion.

Structural model:
Lattice parameters (Å, degrees): 7.778 7.791 11.293 89.84 89.77 89.97
Fractional coordinates of all 20 atoms:
Rb (0.002, 0.003, 0.246)
Rb (0.498, 0.496, 0.246)
Rb (0.502, 0.504, 0.754)
Rb (0.998, 0.997, 0.754)
Ag (0.000, 0.500, 0.500)
Ag (0.500, 0.000, 0.000)
Sn (0.000, 0.500, 0.000)
Sn (0.500, 0.000, 0.500)
Br (0.004, 0.487, 0.250)
Br (0.196, 0.803, 0.498)
Br (0.210, 0.207, 0.992)
Br (0.293, 0.710, 0.003)
Br (0.303, 0.303, 0.507)
Br (0.496, 0.012, 0.251)
Br (0.504, 0.988, 0.749)
Br (0.697, 0.697, 0.493)
Br (0.707, 0.290, 0.997)
Br (0.790, 0.793, 0.008)
Br (0.804, 0.197, 0.502)
Br (0.996, 0.513, 0.750)

Principal peaks in the range 10 to 80 degrees two-theta, in order of rising 2θ:
- (0 0 2), d = 5.646 Å, 15.69 deg, I 23.6
- (1 1 0), d = 5.504 Å, 16.10 deg, I 33.8
- (-1 1 2), d = 3.944 Å, 22.54 deg, I 26.8
- (2 0 0), d = 3.892 Å, 22.85 deg, I 34.6
- (-1 2 1), d = 3.327 Å, 26.79 deg, I 33.3
- (0 2 -2), d = 3.207 Å, 27.82 deg, I 49.5
- (0 0 4), d = 2.823 Å, 31.69 deg, I 68.3
- (2 2 0), d = 2.752 Å, 32.53 deg, I 100.0
- (1 3 2), d = 2.259 Å, 39.91 deg, I 24.0
- (-2 2 4), d = 1.970 Å, 46.06 deg, I 36.6